(1)
# PmPr5Mg
Theoretical powder diffractogram, CuKα. Input: a crystal structure in Alexandria, relaxed with PBE.

Cell and atoms:
```
data_PmPr5Mg
_chemical_formula_sum 'Pm4 Pr20 Mg4'
_space_group_name_H-M_alt 'C 1 2/c 1'
_space_group_IT_number 15
_space_group_name_Hall '-C 2yc'
_cell_length_a 8.8490
_cell_length_b 9.8149
_cell_length_c 12.0706
_cell_angle_alpha 90.00
_cell_angle_beta 111.22
_cell_angle_gamma 90.00
loop_
_atom_site_label
_atom_site_fract_x
_atom_site_fract_y
_atom_site_fract_z
Pm1 0.0000 0.0051 0.2500
Pr1 0.0000 0.3624 0.2500
Pr2 0.1140 0.1607 0.5370
Pr3 0.2056 0.3147 0.8462
Mg1 0.0000 0.5000 0.0000
```

Peak list (10 most intense, 2θ = 10–80°, in order of rising 2θ)
18.01°, d = 4.926 Å, intensity 17.1, (1 1 -2); 28.27°, d = 3.156 Å, intensity 13.5, (2 2 0); 30.92°, d = 2.892 Å, intensity 39.2, (1 1 3); 31.34°, d = 2.854 Å, intensity 34.6, (2 0 -4); 31.50°, d = 2.840 Å, intensity 100.0, (1 3 -2); 31.90°, d = 2.805 Å, intensity 36.5, (3 1 -1); 44.28°, d = 2.046 Å, intensity 12.2, (0 2 5); 45.18°, d = 2.007 Å, intensity 12.0, (2 4 1); 45.74°, d = 1.984 Å, intensity 10.1, (4 2 -3); 55.88°, d = 1.645 Å, intensity 15.9, (3 3 -6)

***

(2)
# Pm6Pr8Mg
Theoretical powder diffractogram, CuKα. Input: a crystal structure in Alexandria, relaxed with PBE.

Cell and atoms:
```
data_Pm6Pr8Mg
_chemical_formula_sum 'Pm6 Pr8 Mg1'
_space_group_name_H-M_alt 'P -3'
_space_group_IT_number 147
_space_group_name_Hall '-P 3'
_cell_length_a 9.5570
_cell_length_b 9.5570
_cell_length_c 6.6471
_cell_angle_alpha 90.00
_cell_angle_beta 90.00
_cell_angle_gamma 120.00
loop_
_atom_site_label
_atom_site_fract_x
_atom_site_fract_y
_atom_site_fract_z
Pm1 0.0922 0.4434 0.3337
Pr1 0.0389 0.2727 0.8220
Pr2 0.3333 0.6667 0.8683
Mg1 0.0000 0.0000 0.5000
```

Peak list (10 most intense, 2θ = 10–80°, in order of rising 2θ)
25.35°, d = 3.513 Å, intensity 13.0, (2 0 1); 26.82°, d = 3.324 Å, intensity 11.3, (0 0 2); 28.53°, d = 3.128 Å, intensity 30.2, (2 1 0); 28.95°, d = 3.084 Å, intensity 18.8, (0 1 2); 31.61°, d = 2.830 Å, intensity 100.0, (3 -2 1); 32.45°, d = 2.759 Å, intensity 9.2, (3 0 0); 32.82°, d = 2.728 Å, intensity 36.7, (1 1 2); 49.95°, d = 1.826 Å, intensity 12.2, (3 2 1); 50.51°, d = 1.807 Å, intensity 24.2, (1 4 0); 60.84°, d = 1.523 Å, intensity 11.5, (4 2 1)

***

(3)
# Pm8Pr3Mg
Theoretical powder diffractogram, CuKα. Input: a crystal structure in Alexandria, relaxed with PBE.

Cell and atoms:
```
data_Pm8Pr3Mg
_chemical_formula_sum 'Pm8 Pr3 Mg1'
_space_group_name_H-M_alt 'P 1'
_space_group_IT_number 1
_space_group_name_Hall 'P 1'
_cell_length_a 3.6979
_cell_length_b 9.2701
_cell_length_c 12.1893
_cell_angle_alpha 93.80
_cell_angle_beta 98.71
_cell_angle_gamma 90.02
loop_
_atom_site_label
_atom_site_fract_x
_atom_site_fract_y
_atom_site_fract_z
Pm1 0.0000 0.0000 0.0000
Pm2 0.0178 0.5836 0.0366
Pm3 0.1611 0.5886 0.3235
Pm4 0.4076 0.7655 0.8159
Pm5 0.4634 0.2860 0.9258
Pm6 0.6160 0.2521 0.2349
Pm7 0.7788 0.7178 0.5595
Pm8 0.8514 0.0849 0.7006
Pr1 0.2189 0.0072 0.4355
Pr2 0.2629 0.3594 0.5275
Pr3 0.6027 0.8591 0.2050
Mg1 0.8767 0.4692 0.7556
```

Peak list (10 most intense, 2θ = 10–80°, in order of rising 2θ)
28.50°, d = 3.132 Å, intensity 36.2, (0 2 -3); 29.42°, d = 3.036 Å, intensity 22.5, (0 3 -1); 30.48°, d = 2.933 Å, intensity 100.0, (0 2 3); 30.66°, d = 2.916 Å, intensity 19.9, (0 1 -4); 31.03°, d = 2.882 Å, intensity 21.8, (1 -2 0); 31.35°, d = 2.853 Å, intensity 58.5, (1 2 0); 31.66°, d = 2.826 Å, intensity 57.3, (1 1 -3); 31.92°, d = 2.804 Å, intensity 14.0, (0 1 4); 49.29°, d = 1.849 Å, intensity 20.0, (2 0 -1); 59.08°, d = 1.564 Å, intensity 14.5, (-2 2 4)